Computed PXRD pattern
Compound: ErGaFe2C
Radiation: Cu Kα X-rays
Structure: a cell relaxed with GGA-PBE

The 10 most intense peaks (10° ≤ 2θ ≤ 90°), sorted by position:
d/Å	Rel. int.
3.561	24
3.480	21
2.544	44
2.489	100
2.472	42
2.396	66
2.119	22
1.843	27
1.736	23
1.369	19

Structure:
Unit cell a=5.586 b=5.586 c=7.123 alpha=90.00 beta=90.00 gamma=141.46
Fractional positions:
Er  0.043  0.957  0.750
Er  0.957  0.043  0.250
Ga  0.235  0.765  0.250
Ga  0.765  0.235  0.750
Fe  0.335  0.665  0.556
Fe  0.335  0.665  0.944
Fe  0.665  0.335  0.056
Fe  0.665  0.335  0.444
C  0.500  0.500  0.000
C  0.500  0.500  0.500

Computed PXRD pattern
Compound: SmErFe17C2
Radiation: Cu Kα X-rays
Structure: a cell relaxed with GGA-PBE

The 10 most intense peaks (10° ≤ 2θ ≤ 90°), sorted by position:
d/Å	Rel. int.
2.984	51
2.488	34
2.385	38
2.160	59
2.153	29
2.139	21
2.132	100
2.085	19
2.066	46
1.499	21

Structure:
Unit cell a=6.464 b=6.464 c=6.490 alpha=96.35 beta=96.35 gamma=83.53
Fractional positions:
Sm  0.000  0.000  0.000
Er  0.694  0.694  0.329
Fe  0.002  0.002  0.517
Fe  0.003  0.496  0.005
Fe  0.062  0.347  0.378
Fe  0.064  0.632  0.662
Fe  0.202  0.691  0.322
Fe  0.252  0.252  0.758
Fe  0.347  0.062  0.378
Fe  0.347  0.347  0.163
Fe  0.348  0.848  0.663
Fe  0.351  0.633  0.948
Fe  0.445  0.445  0.567
Fe  0.496  0.003  0.005
Fe  0.632  0.064  0.662
Fe  0.633  0.351  0.948
Fe  0.691  0.202  0.322
Fe  0.692  0.692  0.806
Fe  0.848  0.348  0.663
C  0.354  0.845  0.165
C  0.845  0.354  0.165

Computed PXRD pattern
Compound: Er4GaC
Radiation: Cu Kα X-rays
Structure: a cell relaxed with GGA-PBE

The 10 most intense peaks (10° ≤ 2θ ≤ 90°), sorted by position:
d/Å	Rel. int.
3.276	20
3.112	30
2.860	100
2.720	82
2.627	36
2.493	53
2.454	54
2.200	24
1.638	19
1.483	28

Structure:
Unit cell a=9.133 b=9.133 c=6.653 alpha=90.00 beta=90.00 gamma=148.83
Fractional positions:
Er  0.026  0.974  0.500
Er  0.169  0.831  0.109
Er  0.203  0.797  0.608
Er  0.406  0.594  0.324
Er  0.594  0.406  0.824
Er  0.797  0.203  0.108
Er  0.831  0.169  0.609
Er  0.974  0.026  0.000
Ga  0.379  0.621  0.848
Ga  0.621  0.379  0.348
C  0.092  0.908  0.819
C  0.908  0.092  0.319

Computed PXRD pattern
Compound: Er8GaC4
Radiation: Cu Kα X-rays
Structure: a cell relaxed with GGA-PBE

The 10 most intense peaks (10° ≤ 2θ ≤ 90°), sorted by position:
d/Å	Rel. int.
3.033	22
2.860	69
2.745	100
2.705	38
2.652	98
2.512	33
2.332	21
1.794	21
1.718	36
1.520	21

Structure:
Unit cell a=8.792 b=8.792 c=11.817 alpha=130.93 beta=130.93 gamma=23.54
Fractional positions:
Er  0.043  0.043  0.233
Er  0.302  0.302  0.438
Er  0.340  0.340  0.165
Er  0.365  0.365  0.908
Er  0.635  0.635  0.092
Er  0.660  0.660  0.835
Er  0.698  0.698  0.562
Er  0.957  0.957  0.767
Ga  0.000  0.000  0.500
C  0.150  0.150  0.965
C  0.331  0.331  0.670
C  0.669  0.669  0.330
C  0.850  0.850  0.035

Computed PXRD pattern
Compound: Er4GaHgC
Radiation: Cu Kα X-rays
Structure: a cell relaxed with GGA-PBE

The 10 most intense peaks (10° ≤ 2θ ≤ 90°), sorted by position:
d/Å	Rel. int.
7.250	12
3.414	18
3.088	69
2.485	100
2.414	79
1.732	13
1.707	46
1.494	17
1.407	31
1.394	13

Structure:
Unit cell a=8.013 b=8.013 c=6.828 alpha=90.00 beta=90.00 gamma=129.58
Fractional positions:
Er  0.000  0.500  0.000
Er  0.000  0.500  0.500
Er  0.079  0.921  0.750
Er  0.417  0.583  0.750
Er  0.500  0.000  0.000
Er  0.500  0.000  0.500
Er  0.583  0.417  0.250
Er  0.921  0.079  0.250
Ga  0.125  0.875  0.250
Ga  0.875  0.125  0.750
Hg  0.382  0.618  0.250
Hg  0.618  0.382  0.750
C  0.249  0.751  0.750
C  0.751  0.249  0.250

Computed PXRD pattern
Compound: ErGaTc2C
Radiation: Cu Kα X-rays
Structure: a cell relaxed with GGA-PBE

The 10 most intense peaks (10° ≤ 2θ ≤ 90°), sorted by position:
d/Å	Rel. int.
3.233	28
2.701	25
2.581	87
2.538	100
2.451	40
2.373	29
2.318	45
2.054	28
1.744	25
1.462	22

Structure:
Unit cell a=6.016 b=6.016 c=7.815 alpha=90.00 beta=90.00 gamma=146.29
Fractional positions:
Er  0.031  0.969  0.750
Er  0.969  0.031  0.250
Ga  0.251  0.749  0.250
Ga  0.749  0.251  0.750
Tc  0.338  0.662  0.553
Tc  0.338  0.662  0.947
Tc  0.662  0.338  0.053
Tc  0.662  0.338  0.447
C  0.500  0.500  0.000
C  0.500  0.500  0.500